Record 1
For Ca5ReH2N4, a cell relaxed with PBE gives the calculated XRD peak list in this record (Cu Ka).

Structure:
abc: 6.770 9.567 5.927
angles: 90.00 90.00 90.00
Space group Amm2 (No. 38)
One atom of each set of equivalent atoms:
Ca: 0.000 0.000 0.000
Ca: 0.265 0.174 0.487
Re: 0.500 0.000 0.972
H: 0.000 0.222 0.783
N: 0.301 0.000 0.212
N: 0.500 0.163 0.804

Top 12 peaks for 5° ≤ 2θ ≤ 70°, low angle first:
| two_theta | d/Å | I (rel.) |
| --- | --- | --- |
| 13.08 | 6.770 | 45 |
| 17.60 | 5.038 | 30 |
| 18.55 | 4.783 | 10 |
| 21.99 | 4.042 | 29 |
| 22.76 | 3.907 | 11 |
| 30.16 | 2.964 | 20 |
| 31.86 | 2.809 | 100 |
| 32.40 | 2.763 | 22 |
| 44.85 | 2.021 | 27 |
| 54.63 | 1.680 | 25 |
| 56.43 | 1.631 | 14 |
| 57.46 | 1.604 | 15 |

***

Record 2
For Na2CaH4, a cell relaxed with PBE gives the calculated XRD peak list in this record (Cu Ka).

Structure:
abc: 6.841 6.841 9.631
angles: 90.00 90.00 90.00
Space group P4_122 (No. 91)
One atom of each set of equivalent atoms:
Na: 0.000 0.224 0.000
Na: 0.257 0.257 0.375
Ca: 0.231 0.500 0.750
H: 0.011 0.259 0.759
H: 0.261 0.468 0.985

Top 12 peaks for 5° ≤ 2θ ≤ 70°, low angle first:
| two_theta | d/Å | I (rel.) |
| --- | --- | --- |
| 15.89 | 5.577 | 30 |
| 26.09 | 3.415 | 27 |
| 30.66 | 2.916 | 100 |
| 30.77 | 2.906 | 49 |
| 32.10 | 2.789 | 62 |
| 37.17 | 2.419 | 12 |
| 48.95 | 1.861 | 34 |
| 49.14 | 1.854 | 13 |
| 53.59 | 1.710 | 15 |
| 53.72 | 1.706 | 31 |
| 63.07 | 1.474 | 11 |
| 63.85 | 1.458 | 14 |

***

Record 3
For Na5CaH7, a cell relaxed with PBE gives the calculated XRD peak list in this record (Cu Ka).

Structure:
abc: 3.344 19.043 5.803
angles: 90.00 106.71 90.00
Space group P2_1/m (No. 11)
One atom of each set of equivalent atoms:
Na: 0.000 0.000 0.000
Na: 0.274 0.076 0.550
Na: 0.459 0.652 0.914
Ca: 0.197 0.750 0.392
H: 0.096 0.620 0.189
H: 0.197 0.184 0.395
H: 0.366 0.537 0.731
H: 0.436 0.250 0.875

Top 12 peaks for 5° ≤ 2θ ≤ 70°, low angle first:
| two_theta | d/Å | I (rel.) |
| --- | --- | --- |
| 28.41 | 3.142 | 20 |
| 31.28 | 2.859 | 56 |
| 32.21 | 2.779 | 17 |
| 32.51 | 2.754 | 100 |
| 33.73 | 2.657 | 38 |
| 37.43 | 2.402 | 42 |
| 38.95 | 2.312 | 29 |
| 51.79 | 1.765 | 18 |
| 53.07 | 1.726 | 17 |
| 54.90 | 1.672 | 12 |
| 55.14 | 1.666 | 21 |
| 65.27 | 1.429 | 25 |

***

Question: Which formula does entry 1 have?
Answer: Ca5ReH2N4